Record 1
Computed XRD peak list of LaFeNi8Ge4 for copper Kα, from a structure optimized by DFT (GGA-PBE).
Lines closer than 0.1° are merged.

a = 11.284 Å, b = 11.365 Å, c = 11.836 Å
α = 90.00°, β = 90.00°, γ = 90.00°
Space group Fmm2 (No. 42)
Inequivalent atoms, fractional coordinates:
La 0.250 0.250 0.000 (multiplicity 8)
Fe 0.119 0.000 0.429 (multiplicity 8)
Ni 0.000 0.000 0.250 (multiplicity 4)
Ni 0.000 0.000 0.753 (multiplicity 4)
Ni 0.000 0.122 0.933 (multiplicity 8)
Ni 0.000 0.123 0.572 (multiplicity 8)
Ni 0.114 0.182 0.752 (multiplicity 16)
Ni 0.126 0.000 0.071 (multiplicity 8)
Ni 0.181 0.114 0.253 (multiplicity 16)
Ge 0.000 0.174 0.129 (multiplicity 8)
Ge 0.000 0.177 0.374 (multiplicity 8)
Ge 0.173 0.000 0.631 (multiplicity 8)
Ge 0.174 0.000 0.873 (multiplicity 8)

Principal peaks in the range 15° ≤ 2θ ≤ 90°, in order of rising 2θ:
hkl, Position (°2θ), I (rel.)
0 2 4, 34.19, 38
2 2 4, 37.81, 69
2 4 2, 38.60, 67
4 2 2, 38.75, 65
3 1 5, 45.96, 100
1 5 3, 46.82, 35
3 5 1, 47.35, 47
5 3 1, 47.52, 36

=====

Record 2
Computed XRD peak list of Sc2Zn3Sn for copper Kα, from a structure optimized by DFT (GGA-PBE).
Lines closer than 0.1° are merged.

a = 6.540 Å, b = 8.961 Å, c = 15.473 Å
α = 90.00°, β = 90.00°, γ = 90.00°
Space group Fmmm (No. 69)
Inequivalent atoms, fractional coordinates:
Sc 0.245 0.000 0.000 (multiplicity 8)
Sc 0.250 0.250 0.250 (multiplicity 8)
Zn 0.000 0.000 0.161 (multiplicity 8)
Zn 0.000 0.242 0.080 (multiplicity 16)
Sn 0.000 0.000 0.334 (multiplicity 8)

Principal peaks in the range 15° ≤ 2θ ≤ 90°, in order of rising 2θ:
hkl, Position (°2θ), I (rel.)
0 0 4, 22.96, 13
2 0 0, 27.27, 31
2 0 4, 35.94, 100
0 4 0, 40.32, 98
2 4 0, 49.36, 37
2 4 4, 55.07, 19
2 2 10, 70.51, 17
4 4 0, 71.47, 34

=====

Record 3
Computed XRD peak list of Fe2PtRh7 for copper Kα, from a structure optimized by DFT (GGA-PBE).
Lines closer than 0.1° are merged.

a = 6.612 Å, b = 2.681 Å, c = 8.777 Å
α = 90.00°, β = 111.62°, γ = 90.00°
Space group P2/m (No. 10)
Inequivalent atoms, fractional coordinates:
Fe 0.101 0.000 0.393 (multiplicity 2)
Pt 0.500 0.500 0.500 (multiplicity 1)
Rh 0.120 0.500 0.886 (multiplicity 2)
Rh 0.263 0.000 0.181 (multiplicity 2)
Rh 0.300 0.000 0.685 (multiplicity 2)
Rh 0.500 0.000 0.000 (multiplicity 1)

Principal peaks in the range 15° ≤ 2θ ≤ 90°, in order of rising 2θ:
hkl, Position (°2θ), I (rel.)
1 1 1, 39.84, 83
1 1 -2, 39.95, 60
1 0 -4, 41.17, 100
3 0 -2, 41.39, 96
2 0 2, 42.87, 88
2 1 -1, 43.46, 48
2 1 0, 44.87, 31
2 1 -3, 49.24, 43

=====

Record 4
Computed XRD peak list of TaMo8W3 for copper Kα, from a structure optimized by DFT (GGA-PBE).
Lines closer than 0.1° are merged.

a = 4.496 Å, b = 9.525 Å, c = 9.011 Å
α = 90.00°, β = 90.00°, γ = 90.00°
Space group Cmmm (No. 65)
Inequivalent atoms, fractional coordinates:
Ta 0.000 0.000 0.000 (multiplicity 2)
Mo 0.000 0.167 0.252 (multiplicity 8)
Mo 0.000 0.331 0.000 (multiplicity 4)
Mo 0.000 0.500 0.250 (multiplicity 4)
W 0.000 0.000 0.500 (multiplicity 2)
W 0.000 0.333 0.500 (multiplicity 4)

Principal peaks in the range 15° ≤ 2θ ≤ 90°, in order of rising 2θ:
hkl, Position (°2θ), I (rel.)
0 0 2, 19.71, 5
1 3 0, 34.58, 2
2 0 0, 40.10, 100
2 0 4, 57.95, 11
0 6 0, 58.10, 6
1 3 6, 72.77, 11
3 3 2, 72.90, 23
4 0 0, 86.62, 9

=====

Record 5
Computed XRD peak list of Ba3TmPt2O9 for copper Kα, from a structure optimized by DFT (GGA-PBE).
Lines closer than 0.1° are merged.

a = 5.8862 Å, b = 5.8862 Å, c = 7.2411 Å
α = 90.00°, β = 90.00°, γ = 120.00°
Space group P-3m1 (No. 164)
Inequivalent atoms, fractional coordinates:
Ba 0.0000 0.0000 0.0000 (multiplicity 1)
Ba 0.3333 0.6667 0.6787 (multiplicity 2)
Tm 0.0000 0.0000 0.5000 (multiplicity 1)
Pt 0.3333 0.6667 0.1656 (multiplicity 2)
O 0.0000 0.5000 0.0000 (multiplicity 3)
O 0.1740 0.3479 0.3243 (multiplicity 6)

Principal peaks in the range 15° ≤ 2θ ≤ 90°, in order of rising 2θ:
hkl, Position (°2θ), I (rel.)
1 1 0, 30.32, 100
2 0 2, 43.42, 28
1 0 4, 53.73, 10
3 0 0, 53.92, 30
2 2 0, 63.19, 9
2 1 4, 71.51, 9
3 1 2, 71.66, 9
4 1 0, 87.72, 11

=====

Record 6
Computed XRD peak list of KNaNp2Te4 for copper Kα, from a structure optimized by DFT (GGA-PBE).
Lines closer than 0.1° are merged.

a = 4.623 Å, b = 14.896 Å, c = 16.358 Å
α = 90.00°, β = 90.00°, γ = 90.00°
Space group Cmcm (No. 63)
Inequivalent atoms, fractional coordinates:
K 0.000 0.119 0.250 (multiplicity 4)
Na 0.000 0.166 0.750 (multiplicity 4)
Np 0.000 0.371 0.065 (multiplicity 8)
Te 0.000 0.000 0.000 (multiplicity 4)
Te 0.000 0.269 0.600 (multiplicity 8)
Te 0.000 0.448 0.250 (multiplicity 4)

Principal peaks in the range 15° ≤ 2θ ≤ 90°, in order of rising 2θ:
hkl, Position (°2θ), I (rel.)
0 2 3, 20.15, 84
0 2 4, 24.84, 46
1 3 0, 26.34, 47
1 3 1, 26.91, 68
1 3 2, 28.55, 100
2 0 0, 38.96, 44
1 5 3, 39.60, 70
0 6 3, 39.90, 43